This entry pairs a crystal structure of TlZnRh with its simulated XRD peak list. Radiation: Cu Ka. Structure: a crystal structure in Alexandria, relaxed with PBE.

Peak list (8 most intense, 2θ = 10–90°, sorted by position)
- (1 0 1), 2θ = 23.36°, I 21
- (0 1 2), 2θ = 24.51°, I 21
- (1 0 4), 2θ = 28.67°, I 48
- (0 1 5), 2θ = 31.46°, I 26
- (1 1 0), 2θ = 40.33°, I 100
- (0 1 8), 2θ = 41.65°, I 80
- (2 0 8), 2θ = 59.37°, I 28
- (1 2 8), 2θ = 74.23°, I 29

Atomic structure:
```
data_TlZnRh
_cell_length_a 4.4721
_cell_length_b 4.4721
_cell_length_c 20.9360
_cell_angle_alpha 90.00
_cell_angle_beta 90.00
_cell_angle_gamma 120.00
_space_group_name_H-M_alt 'R -3 m'
_space_group_IT_number 166
_space_group_name_Hall '-R 3 2"'
loop_
_atom_site_label
_atom_site_fract_x
_atom_site_fract_y
_atom_site_fract_z
Tl1 0.0000 0.0000 0.1203
Zn1 0.0000 0.0000 0.3799
Rh1 0.0000 0.0000 0.2609
```

This entry pairs a crystal structure of Pm3Al3Ga8 with its simulated XRD peak list. Radiation: Cu Ka. Structure: a crystal structure in Alexandria, relaxed with PBE.

Peak list (8 most intense, 2θ = 10–90°, sorted by position)
- (1 0 3), 2θ = 29.32°, I 28
- (0 3 3), 2θ = 33.98°, I 28
- (1 3 0), 2θ = 34.27°, I 54
- (1 2 3), 2θ = 34.53°, I 100
- (0 0 6), 2θ = 41.44°, I 23
- (2 0 0), 2θ = 42.43°, I 33
- (0 5 3), 2θ = 50.43°, I 17
- (1 3 6), 2θ = 54.83°, I 19

Atomic structure:
```
data_Pm3Al3Ga8
_cell_length_a 4.2604
_cell_length_b 9.9452
_cell_length_c 13.0746
_cell_angle_alpha 90.00
_cell_angle_beta 90.00
_cell_angle_gamma 90.00
_space_group_name_H-M_alt 'I m m m'
_space_group_IT_number 71
_space_group_name_Hall '-I 2 2'
loop_
_atom_site_label
_atom_site_fract_x
_atom_site_fract_y
_atom_site_fract_z
Pm1 0.0000 0.0000 0.0000
Pm2 0.0000 0.0000 0.3170
Al1 0.0000 0.2175 0.5000
Al2 0.0000 0.5000 0.0000
Ga1 0.0000 0.2765 0.1382
Ga2 0.0000 0.3708 0.3346
```

This entry pairs a crystal structure of Nd2Te4Au with its simulated XRD peak list. Radiation: Cu Ka. Structure: a crystal structure in Alexandria, relaxed with PBE.

Peak list (8 most intense, 2θ = 10–90°, sorted by position)
- (0 2 0), 2θ = 28.27°, I 55
- (1 1 2), 2θ = 30.19°, I 62
- (2 1 -2), 2θ = 30.36°, I 65
- (1 2 0), 2θ = 30.69°, I 100
- (0 2 2), 2θ = 35.35°, I 67
- (2 2 0), 2θ = 37.09°, I 61
- (2 1 2), 2θ = 38.57°, I 47
- (1 0 -4), 2θ = 40.49°, I 67

Atomic structure:
```
data_Nd2Te4Au
_cell_length_a 7.8727
_cell_length_b 6.3137
_cell_length_c 8.9114
_cell_angle_alpha 90.00
_cell_angle_beta 106.03
_cell_angle_gamma 90.00
_space_group_name_H-M_alt 'P 1 21/m 1'
_space_group_IT_number 11
loop_
_space_group_symop_operation_xyz
'x,y,z'
'-x,-y,-z'
'-x,y+1/2,-z'
'x,-y+1/2,z'
loop_
_atom_site_label
_atom_site_fract_x
_atom_site_fract_y
_atom_site_fract_z
Nd1 0.2167 0.2500 0.4291
Nd2 0.2613 0.2500 0.9403
Te1 0.0714 0.7500 0.3598
Te2 0.0817 0.7500 0.9232
Te3 0.4826 0.5064 0.2534
Au1 0.2037 0.7500 0.6705
```

This entry pairs a crystal structure of BeTlSbCl6 with its simulated XRD peak list. Radiation: Cu Ka. Structure: a crystal structure in Alexandria, relaxed with PBE.

Peak list (8 most intense, 2θ = 10–90°, sorted by position)
- (1 0 0), 2θ = 14.62°, I 19
- (1 0 1), 2θ = 18.89°, I 100
- (1 1 0), 2θ = 25.47°, I 15
- (0 1 2), 2θ = 28.16°, I 40
- (2 0 1), 2θ = 31.90°, I 24
- (2 -1 2), 2θ = 35.21°, I 39
- (3 -2 1), 2θ = 41.26°, I 26
- (3 0 0), 2θ = 44.89°, I 14

Atomic structure:
```
data_BeTlSbCl6
_cell_length_a 6.9941
_cell_length_b 6.9941
_cell_length_c 7.4461
_cell_angle_alpha 90.00
_cell_angle_beta 90.00
_cell_angle_gamma 120.00
_space_group_name_H-M_alt 'P 3'
_space_group_IT_number 143
loop_
_space_group_symop_operation_xyz
'x,y,z'
'-y,x-y,z'
'-x+y,-x,z'
loop_
_atom_site_label
_atom_site_fract_x
_atom_site_fract_y
_atom_site_fract_z
Be1 0.0000 0.0000 0.0000
Tl1 0.6667 0.3333 0.2618
Sb1 0.3333 0.6667 0.7154
Cl1 0.0071 0.2795 0.0047
Cl2 0.0514 0.6898 0.5444
```

This entry pairs a crystal structure of KBi2F9 with its simulated XRD peak list. Radiation: Cu Ka. Structure: a crystal structure in Alexandria, relaxed with PBE.

Peak list (8 most intense, 2θ = 10–90°, sorted by position)
- (1 0 0), 2θ = 13.27°, I 81
- (1 1 0), 2θ = 23.08°, I 100
- (0 0 1), 2θ = 25.15°, I 23
- (1 1 1), 2θ = 34.40°, I 77
- (2 1 1), 2θ = 44.08°, I 26
- (2 2 0), 2θ = 47.17°, I 22
- (3 0 1), 2θ = 48.32°, I 37
- (2 2 1), 2θ = 54.20°, I 28

Atomic structure:
```
data_KBi2F9
_cell_length_a 7.7070
_cell_length_b 7.7070
_cell_length_c 3.5404
_cell_angle_alpha 90.00
_cell_angle_beta 90.00
_cell_angle_gamma 120.00
_space_group_name_H-M_alt 'P 6/m m m'
_space_group_IT_number 191
_space_group_name_Hall '-P 6 2'
loop_
_atom_site_label
_atom_site_fract_x
_atom_site_fract_y
_atom_site_fract_z
K1 0.0000 0.0000 0.0000
Bi1 0.3333 0.6667 0.0000
F1 0.0000 0.5000 0.0000
F2 0.2188 0.4376 0.5000
```

This entry pairs a crystal structure of Pr8PtRh2 with its simulated XRD peak list. Radiation: Cu Ka. Structure: a crystal structure in Alexandria, relaxed with PBE.

Peak list (8 most intense, 2θ = 10–90°, sorted by position)
- (1 1 -2), 2θ = 28.29°, I 28
- (1 3 1), 2θ = 29.62°, I 78
- (2 0 1), 2θ = 30.63°, I 36
- (0 4 1), 2θ = 31.23°, I 44
- (3 1 -1), 2θ = 32.42°, I 100
- (2 2 -2), 2θ = 33.19°, I 36
- (2 4 0), 2θ = 35.66°, I 33
- (1 5 -1), 2θ = 37.86°, I 43

Atomic structure:
```
data_Pr8PtRh2
_cell_length_a 8.5089
_cell_length_b 12.9657
_cell_length_c 6.5113
_cell_angle_alpha 90.00
_cell_angle_beta 110.04
_cell_angle_gamma 90.00
_space_group_name_H-M_alt 'C 1 m 1'
_space_group_IT_number 8
loop_
_space_group_symop_operation_xyz
'x,y,z'
'x,-y,z'
'x+1/2,y+1/2,z'
'x+1/2,-y+1/2,z'
loop_
_atom_site_label
_atom_site_fract_x
_atom_site_fract_y
_atom_site_fract_z
Pr1 0.0000 0.0000 0.0000
Pr2 0.0696 0.3667 0.8013
Pr3 0.1367 0.1343 0.5680
Pr4 0.2122 0.5000 0.3834
Pr5 0.3491 0.2049 0.1871
Pt1 0.3619 0.0000 0.3968
Rh1 0.3556 0.3147 0.6938
```

This entry pairs a crystal structure of Zr4CuOs with its simulated XRD peak list. Radiation: Cu Ka. Structure: a crystal structure in Alexandria, relaxed with PBE.

Peak list (8 most intense, 2θ = 10–90°, sorted by position)
- (0 0 2), 2θ = 16.07°, I 7
- (1 0 3), 2θ = 36.80°, I 100
- (1 1 0), 2θ = 38.98°, I 44
- (0 0 6), 2θ = 49.57°, I 9
- (2 0 0), 2θ = 56.31°, I 15
- (1 1 6), 2θ = 64.80°, I 16
- (2 1 3), 2θ = 69.18°, I 30
- (2 0 6), 2θ = 78.28°, I 9

Atomic structure:
```
data_Zr4CuOs
_cell_length_a 3.2674
_cell_length_b 3.2674
_cell_length_c 11.0328
_cell_angle_alpha 90.00
_cell_angle_beta 90.00
_cell_angle_gamma 90.00
_space_group_name_H-M_alt 'P 4/m m m'
_space_group_IT_number 123
_space_group_name_Hall '-P 4 2'
loop_
_atom_site_label
_atom_site_fract_x
_atom_site_fract_y
_atom_site_fract_z
Zr1 0.0000 0.0000 0.1497
Zr2 0.5000 0.5000 0.3419
Cu1 0.0000 0.0000 0.5000
Os1 0.5000 0.5000 0.0000
```

This entry pairs a crystal structure of Y2BPBr with its simulated XRD peak list. Radiation: Cu Ka. Structure: a crystal structure in Alexandria, relaxed with PBE.

Peak list (8 most intense, 2θ = 10–90°, sorted by position)
- (1 0 0), 2θ = 16.68°, I 41
- (0 0 1), 2θ = 18.25°, I 23
- (1 1 1), 2θ = 30.06°, I 100
- (2 0 0), 2θ = 33.73°, I 58
- (0 0 2), 2θ = 36.99°, I 22
- (2 0 2), 2θ = 50.92°, I 34
- (3 1 1), 2θ = 58.07°, I 29
- (2 2 2), 2θ = 62.46°, I 30

Atomic structure:
```
data_Y2BPBr
_cell_length_a 5.3151
_cell_length_b 5.3151
_cell_length_c 4.8599
_cell_angle_alpha 90.00
_cell_angle_beta 90.00
_cell_angle_gamma 90.00
_space_group_name_H-M_alt 'P 4/m m m'
_space_group_IT_number 123
_space_group_name_Hall '-P 4 2'
loop_
_atom_site_label
_atom_site_fract_x
_atom_site_fract_y
_atom_site_fract_z
Y1 0.0000 0.5000 0.0000
B1 0.0000 0.0000 0.5000
P1 0.5000 0.5000 0.0000
Br1 0.5000 0.5000 0.5000
```

This entry pairs a crystal structure of Li5TmPd6 with its simulated XRD peak list. Radiation: Cu Ka. Structure: a crystal structure in Alexandria, relaxed with PBE.

Peak list (8 most intense, 2θ = 10–90°, sorted by position)
- (1 1 0), 2θ = 25.82°, I 16
- (0 2 0), 2θ = 28.66°, I 20
- (1 0 1), 2θ = 28.95°, I 20
- (1 0 -2), 2θ = 29.07°, I 20
- (1 2 1), 2θ = 41.23°, I 100
- (2 0 -1), 2θ = 41.30°, I 26
- (0 0 3), 2θ = 41.67°, I 25
- (3 2 0), 2θ = 75.14°, I 16

Atomic structure:
```
data_Li5TmPd6
_cell_length_a 4.3721
_cell_length_b 6.2291
_cell_length_c 6.8511
_cell_angle_alpha 90.00
_cell_angle_beta 108.38
_cell_angle_gamma 90.00
_space_group_name_H-M_alt 'P 1 2/m 1'
_space_group_IT_number 10
loop_
_space_group_symop_operation_xyz
'x,y,z'
'-x,-y,-z'
'-x,y,-z'
'x,-y,z'
loop_
_atom_site_label
_atom_site_fract_x
_atom_site_fract_y
_atom_site_fract_z
Li1 0.0000 0.0000 0.0000
Li2 0.3289 0.5000 0.6578
Li3 0.3329 0.0000 0.6669
Tm1 0.0000 0.5000 0.0000
Pd1 0.1719 0.2396 0.3433
Pd2 0.5000 0.2305 0.0000
```

This entry pairs a crystal structure of FeTeC with its simulated XRD peak list. Radiation: Cu Ka. Structure: a crystal structure in Alexandria, relaxed with PBE.

Peak list (8 most intense, 2θ = 10–90°, sorted by position)
- (0 0 2), 2θ = 20.32°, I 66
- (0 1 1), 2θ = 26.65°, I 100
- (0 1 -2), 2θ = 29.23°, I 88
- (1 -1 0), 2θ = 32.45°, I 48
- (1 0 -2), 2θ = 35.79°, I 51
- (1 -1 2), 2θ = 40.01°, I 48
- (0 1 3), 2θ = 41.21°, I 45
- (1 1 0), 2θ = 47.70°, I 53

Atomic structure:
```
data_FeTeC
_cell_length_a 2.9688
_cell_length_b 4.1091
_cell_length_c 8.8787
_cell_angle_alpha 93.63
_cell_angle_beta 97.48
_cell_angle_gamma 111.17
_space_group_name_H-M_alt 'P -1'
_space_group_IT_number 2
loop_
_space_group_symop_operation_xyz
'x,y,z'
'-x,-y,-z'
loop_
_atom_site_label
_atom_site_fract_x
_atom_site_fract_y
_atom_site_fract_z
Fe1 0.1565 0.3979 0.3911
Te1 0.2199 0.2062 0.7992
C1 0.4224 0.8273 0.5225
```

> What is the formula in the fifth record?

KBi2F9